No. 1
# AgBiPF
Theoretical PXRD pattern, Cu Kα (λ = 1.5418 Å). Input: the PBE geometry in OQMD.

Peak list (10 most intense, 5° ≤ 2θ ≤ 70°, low angle first)
| Position (°2θ) | d_spacing | I/Imax |
| --- | --- | --- |
| 24.2 | 3.671 | 182 |
| 28.4 | 3.139 | 747 |
| 28.8 | 3.096 | 608 |
| 30.3 | 2.952 | 1000 |
| 33.6 | 2.667 | 201 |
| 35.9 | 2.498 | 195 |
| 38.4 | 2.343 | 349 |
| 49.7 | 1.836 | 496 |
| 50.3 | 1.815 | 180 |
| 52.4 | 1.746 | 250 |

Cell and atoms:
```
data_AgBiPF
_chemical_formula_sum 'Ag8 Bi8 P8 F8'
_space_group_name_H-M_alt 'P b a m'
_space_group_IT_number 55
_space_group_name_Hall '-P 2 2ab'
_cell_length_a 8.2495
_cell_length_b 16.9116
_cell_length_c 4.6870
_cell_angle_alpha 90.00
_cell_angle_beta 90.00
_cell_angle_gamma 90.00
loop_
_atom_site_label
_atom_site_type_symbol
_atom_site_fract_x
_atom_site_fract_y
_atom_site_fract_z
Ag1 Ag 0.0561 0.1211 0.0000
Ag2 Ag 0.0645 0.6290 0.0000
Bi1 Bi 0.2444 0.2649 0.5000
Bi2 Bi 0.2466 0.4856 0.5000
P1 P 0.0018 0.6246 0.5000
P2 P 0.0050 0.8748 0.5000
F1 F 0.2388 0.4759 0.0000
F2 F 0.2451 0.2750 0.0000
```

=====

No. 2
# LaPrB2Pd6Pt2
Theoretical PXRD pattern, Cu Kα (λ = 1.5418 Å). Input: the PBE geometry in OQMD.

Peak list (10 most intense, 5° ≤ 2θ ≤ 70°, low angle first)
| Position (°2θ) | d_spacing | I/Imax |
| --- | --- | --- |
| 29.9 | 2.989 | 194 |
| 32.5 | 2.753 | 266 |
| 34.6 | 2.591 | 399 |
| 35.1 | 2.557 | 286 |
| 37.7 | 2.384 | 446 |
| 39.6 | 2.277 | 241 |
| 40.0 | 2.253 | 199 |
| 40.3 | 2.236 | 1000 |
| 63.3 | 1.468 | 263 |
| 68.1 | 1.376 | 257 |

Cell and atoms:
```
data_LaPrB2Pd6Pt2
_chemical_formula_sum 'La1 Pr1 B2 Pd6 Pt2'
_space_group_name_H-M_alt 'P 6/m m m'
_space_group_IT_number 191
_space_group_name_Hall '-P 6 2'
_cell_length_a 5.5057
_cell_length_b 5.5057
_cell_length_c 7.6711
_cell_angle_alpha 90.00
_cell_angle_beta 90.00
_cell_angle_gamma 120.00
loop_
_atom_site_label
_atom_site_type_symbol
_atom_site_fract_x
_atom_site_fract_y
_atom_site_fract_z
La1 La 0.0000 0.0000 0.0000
Pr1 Pr 0.0000 0.0000 0.5000
B1 B 0.3333 0.6667 0.5000
Pd1 Pd 0.0000 0.5000 0.3039
Pt1 Pt 0.3333 0.6667 0.0000
```

=====

No. 3
# Cu7Ag3
Theoretical PXRD pattern, Cu Kα (λ = 1.5418 Å). Input: the PBE geometry in OQMD.

Peak list (10 most intense, 5° ≤ 2θ ≤ 70°, low angle first)
| Position (°2θ) | d_spacing | I/Imax |
| --- | --- | --- |
| 36.4 | 2.470 | 64 |
| 40.9 | 2.208 | 488 |
| 41.0 | 2.202 | 506 |
| 41.3 | 2.184 | 1000 |
| 47.0 | 1.932 | 338 |
| 48.0 | 1.897 | 287 |
| 48.6 | 1.874 | 308 |
| 68.9 | 1.364 | 81 |
| 69.9 | 1.346 | 93 |
| 70.0 | 1.344 | 96 |

Cell and atoms:
```
data_Cu7Ag3
_chemical_formula_sum 'Cu7 Ag3'
_space_group_name_H-M_alt 'P -1'
_space_group_IT_number 2
_space_group_name_Hall '-P 1'
_cell_length_a 4.6139
_cell_length_b 4.6713
_cell_length_c 7.0968
_cell_angle_alpha 107.65
_cell_angle_beta 102.40
_cell_angle_gamma 100.35
loop_
_atom_site_label
_atom_site_type_symbol
_atom_site_fract_x
_atom_site_fract_y
_atom_site_fract_z
Cu1 Cu 0.0000 0.0000 0.0000
Cu2 Cu 0.1262 0.2157 0.7251
Cu3 Cu 0.2932 0.6015 0.0888
Cu4 Cu 0.4170 0.8088 0.8198
Ag1 Ag 0.1796 0.3855 0.3844
Ag2 Ag 0.5000 0.0000 0.5000
```

=====

No. 4
# TbSc3Pb2C2
Theoretical PXRD pattern, Cu Kα (λ = 1.5418 Å). Input: the PBE geometry in OQMD.

Peak list (10 most intense, 5° ≤ 2θ ≤ 70°, low angle first)
| Position (°2θ) | d_spacing | I/Imax |
| --- | --- | --- |
| 5.7 | 15.444 | 208 |
| 11.5 | 7.722 | 299 |
| 29.8 | 3.000 | 236 |
| 30.4 | 2.945 | 245 |
| 34.6 | 2.592 | 1000 |
| 34.9 | 2.574 | 195 |
| 46.5 | 1.953 | 174 |
| 52.9 | 1.732 | 209 |
| 62.3 | 1.490 | 165 |
| 64.9 | 1.437 | 194 |

Cell and atoms:
```
data_TbSc3Pb2C2
_chemical_formula_sum 'Tb1 Sc3 Pb2 C2'
_space_group_name_H-M_alt 'P 3 m 1'
_space_group_IT_number 156
_space_group_name_Hall 'P 3 -2"'
_cell_length_a 3.4641
_cell_length_b 3.4641
_cell_length_c 15.4436
_cell_angle_alpha 90.00
_cell_angle_beta 90.00
_cell_angle_gamma 120.00
loop_
_atom_site_label
_atom_site_type_symbol
_atom_site_fract_x
_atom_site_fract_y
_atom_site_fract_z
Tb1 Tb 0.0000 0.0000 0.0000
Sc1 Sc 0.0000 0.0000 0.3455
Sc2 Sc 0.3333 0.6667 0.4994
Sc3 Sc 0.3333 0.6667 0.8340
Pb1 Pb 0.0000 0.0000 0.6662
Pb2 Pb 0.3333 0.6667 0.1793
C1 C 0.6667 0.3333 0.4226
C2 C 0.6667 0.3333 0.9098
```

=====

No. 5
# YZn8
Theoretical PXRD pattern, Cu Kα (λ = 1.5418 Å). Input: the PBE geometry in OQMD.

Peak list (10 most intense, 5° ≤ 2θ ≤ 70°, low angle first)
| Position (°2θ) | d_spacing | I/Imax |
| --- | --- | --- |
| 11.6 | 7.650 | 275 |
| 20.1 | 4.417 | 130 |
| 23.3 | 3.825 | 388 |
| 30.9 | 2.892 | 166 |
| 32.1 | 2.790 | 354 |
| 34.2 | 2.621 | 92 |
| 40.0 | 2.254 | 698 |
| 40.9 | 2.208 | 1000 |
| 52.9 | 1.732 | 477 |
| 58.5 | 1.577 | 212 |

Cell and atoms:
```
data_YZn8
_chemical_formula_sum 'Y1 Zn8'
_space_group_name_H-M_alt 'P 6/m m m'
_space_group_IT_number 191
_space_group_name_Hall '-P 6 2'
_cell_length_a 8.8337
_cell_length_b 8.8337
_cell_length_c 2.7897
_cell_angle_alpha 90.00
_cell_angle_beta 90.00
_cell_angle_gamma 120.00
loop_
_atom_site_label
_atom_site_type_symbol
_atom_site_fract_x
_atom_site_fract_y
_atom_site_fract_z
Y1 Y 0.0000 0.0000 0.0000
Zn1 Zn 0.1728 0.3457 0.5000
Zn2 Zn 0.3333 0.6667 0.5000
```

=====

No. 6
# Ho3ScSn2C2
Theoretical PXRD pattern, Cu Kα (λ = 1.5418 Å). Input: the PBE geometry in OQMD.

Peak list (10 most intense, 5° ≤ 2θ ≤ 70°, low angle first)
| Position (°2θ) | d_spacing | I/Imax |
| --- | --- | --- |
| 5.7 | 15.587 | 195 |
| 11.4 | 7.793 | 51 |
| 29.1 | 3.069 | 237 |
| 33.9 | 2.643 | 1000 |
| 34.5 | 2.598 | 195 |
| 45.8 | 1.983 | 165 |
| 51.6 | 1.772 | 214 |
| 61.5 | 1.508 | 172 |
| 63.2 | 1.472 | 168 |
| 63.6 | 1.464 | 205 |

Cell and atoms:
```
data_Ho3ScSn2C2
_chemical_formula_sum 'Ho3 Sc1 Sn2 C2'
_space_group_name_H-M_alt 'P 3 m 1'
_space_group_IT_number 156
_space_group_name_Hall 'P 3 -2"'
_cell_length_a 3.5440
_cell_length_b 3.5440
_cell_length_c 15.5869
_cell_angle_alpha 90.00
_cell_angle_beta 90.00
_cell_angle_gamma 120.00
loop_
_atom_site_label
_atom_site_type_symbol
_atom_site_fract_x
_atom_site_fract_y
_atom_site_fract_z
Ho1 Ho 0.0000 0.0000 0.0000
Ho2 Ho 0.0000 0.0000 0.3360
Ho3 Ho 0.6667 0.3333 0.8278
Sc1 Sc 0.6667 0.3333 0.4979
Sn1 Sn 0.0000 0.0000 0.6571
Sn2 Sn 0.6667 0.3333 0.1680
C1 C 0.3333 0.6667 0.4217
C2 C 0.3333 0.6667 0.9140
```

=====

No. 7
# Ho2Sc2BrNCl4
Theoretical PXRD pattern, Cu Kα (λ = 1.5418 Å). Input: the PBE geometry in OQMD.

Peak list (10 most intense, 5° ≤ 2θ ≤ 70°, low angle first)
| Position (°2θ) | d_spacing | I/Imax |
| --- | --- | --- |
| 11.1 | 7.984 | 1000 |
| 11.5 | 7.720 | 177 |
| 22.3 | 3.992 | 139 |
| 23.1 | 3.853 | 110 |
| 25.6 | 3.482 | 162 |
| 33.7 | 2.661 | 252 |
| 33.8 | 2.654 | 550 |
| 37.8 | 2.380 | 119 |
| 48.3 | 1.884 | 133 |
| 48.6 | 1.874 | 136 |

Cell and atoms:
```
data_Ho2Sc2BrNCl4
_chemical_formula_sum 'Ho4 Sc4 Br2 N2 Cl8'
_space_group_name_H-M_alt 'C 1 2/m 1'
_space_group_IT_number 12
_space_group_name_Hall '-C 2y'
_cell_length_a 16.4256
_cell_length_b 3.5678
_cell_length_c 7.9407
_cell_angle_alpha 90.00
_cell_angle_beta 103.55
_cell_angle_gamma 90.00
loop_
_atom_site_label
_atom_site_type_symbol
_atom_site_fract_x
_atom_site_fract_y
_atom_site_fract_z
Ho1 Ho 0.0005 0.0000 0.3009
Sc1 Sc 0.1372 0.5000 0.5694
Br1 Br 0.0000 0.5000 0.0000
N1 N 0.0000 0.5000 0.5000
Cl1 Cl 0.1669 0.0000 0.8110
Cl2 Cl 0.1708 0.0000 0.3543
```

=====

No. 8
# K2ReCl6
Theoretical PXRD pattern, Cu Kα (λ = 1.5418 Å). Input: the PBE geometry in OQMD.

Peak list (10 most intense, 5° ≤ 2θ ≤ 70°, low angle first)
| Position (°2θ) | d_spacing | I/Imax |
| --- | --- | --- |
| 15.5 | 5.719 | 1000 |
| 18.2 | 4.870 | 232 |
| 25.2 | 3.532 | 268 |
| 25.9 | 3.444 | 168 |
| 29.2 | 3.063 | 154 |
| 30.3 | 2.950 | 325 |
| 35.0 | 2.565 | 188 |
| 36.9 | 2.435 | 280 |
| 45.2 | 2.005 | 159 |
| 51.8 | 1.766 | 191 |

Cell and atoms:
```
data_K2ReCl6
_chemical_formula_sum 'K4 Re2 Cl12'
_space_group_name_H-M_alt 'P 4/m n c'
_space_group_IT_number 128
_space_group_name_Hall '-P 4 2n'
_cell_length_a 6.8877
_cell_length_b 6.8877
_cell_length_c 10.2605
_cell_angle_alpha 90.00
_cell_angle_beta 90.00
_cell_angle_gamma 90.00
loop_
_atom_site_label
_atom_site_type_symbol
_atom_site_fract_x
_atom_site_fract_y
_atom_site_fract_z
K1 K 0.0000 0.5000 0.2500
Re1 Re 0.0000 0.0000 0.0000
Cl1 Cl 0.0000 0.0000 0.2318
Cl2 Cl 0.1980 0.2813 0.0000
```

=====

No. 9
# Ho3Ga4Pd2
Theoretical PXRD pattern, Cu Kα (λ = 1.5418 Å). Input: the PBE geometry in OQMD.

Peak list (10 most intense, 5° ≤ 2θ ≤ 70°, low angle first)
| Position (°2θ) | d_spacing | I/Imax |
| --- | --- | --- |
| 23.2 | 3.830 | 169 |
| 34.0 | 2.634 | 336 |
| 34.5 | 2.601 | 645 |
| 34.8 | 2.575 | 1000 |
| 40.4 | 2.234 | 747 |
| 41.0 | 2.200 | 414 |
| 52.1 | 1.754 | 140 |
| 54.3 | 1.689 | 176 |
| 54.9 | 1.673 | 153 |
| 68.4 | 1.372 | 123 |

Cell and atoms:
```
data_Ho3Ga4Pd2
_chemical_formula_sum 'Ho6 Ga8 Pd4'
_space_group_name_H-M_alt 'C 1 2/m 1'
_space_group_IT_number 12
_space_group_name_Hall '-C 2y'
_cell_length_a 10.5921
_cell_length_b 4.4006
_cell_length_c 8.4648
_cell_angle_alpha 90.00
_cell_angle_beta 114.02
_cell_angle_gamma 90.00
loop_
_atom_site_label
_atom_site_type_symbol
_atom_site_fract_x
_atom_site_fract_y
_atom_site_fract_z
Ho1 Ho 0.0000 0.0000 0.0000
Ho2 Ho 0.1792 0.5000 0.6440
Ga1 Ga 0.0206 0.0000 0.3595
Ga2 Ga 0.2428 0.5000 0.0818
Pd1 Pd 0.0978 0.5000 0.2659
```